No. 1
Structure and simulated powder X-ray diffraction pattern of Zn2AgWO6 (a DFT-relaxed cell (PBE+U, the Materials Project); CuKα).
Intensities are scaled so that the largest is 100.

Structure:
Cell lengths 5.1229, 5.5408, 5.6867 Å; angles 114.92, 115.51, 90.02 degrees
Space group P1 (No. 1)
One atom of each set of equivalent atoms:
Zn1 0.0000 0.0000 0.0000
Zn2 0.4083 0.5211 0.9872
Ag1 0.2426 0.8502 0.5462
W1 0.7261 0.3463 0.5319
O1 0.0339 0.1741 0.7440
O2 0.0986 0.6680 0.7500
O3 0.3933 0.0717 0.3755
O4 0.4880 0.5664 0.3710
O5 0.7223 0.5646 0.8993
O6 0.7882 0.1928 0.2011

Peak list (8 most intense, 2θ = 10–90°, sorted by position)
| (hkl) | 2theta | I_rel |
| --- | --- | --- |
| 0 0 1 | 19.5 | 57 |
| 1 1 -1 | 23.7 | 62 |
| 1 1 0 | 29.8 | 100 |
| -1 1 1 | 30.3 | 79 |
| 1 -1 1 | 31.5 | 85 |
| 1 1 -2 | 32.1 | 65 |
| 0 2 -1 | 32.4 | 61 |
| 2 0 -1 | 35.0 | 39 |

---

No. 2
Structure and simulated powder X-ray diffraction pattern of MgV4O5F7 (a DFT-relaxed cell (PBE+U, the Materials Project); CuKα).
Intensities are scaled so that the largest is 100.

Structure:
Cell lengths 5.0487, 5.3695, 7.7312 Å; angles 93.53, 90.78, 90.05 degrees
Space group P1 (No. 1)
One atom of each set of equivalent atoms:
Mg1 0.0000 0.0000 0.0000
V1 0.0088 0.6080 0.7037
V2 0.5084 0.0979 0.2216
V3 0.5098 0.1083 0.7034
V4 0.9977 0.5799 0.2401
O1 0.2238 0.9088 0.2376
O2 0.2394 0.3022 0.6724
O3 0.8154 0.9188 0.7711
O4 0.8158 0.2675 0.1529
O5 0.9152 0.5947 0.4494
F1 0.1097 0.6278 0.9681
F2 0.3264 0.7946 0.6454
F3 0.3366 0.4155 0.2685
F4 0.3772 0.1030 0.9611
F5 0.6334 0.0941 0.4598
F6 0.7160 0.7915 0.1413
F7 0.7234 0.4030 0.7779

Peak list (8 most intense, 2θ = 10–90°, sorted by position)
| (hkl) | 2theta | I_rel |
| --- | --- | --- |
| 0 0 2 | 23.1 | 51 |
| 1 -1 0 | 24.2 | 100 |
| 1 1 -2 | 32.8 | 12 |
| 1 -1 2 | 33.1 | 12 |
| 0 2 0 | 33.4 | 14 |
| 0 0 4 | 47.1 | 13 |
| 2 -2 0 | 49.6 | 22 |
| 1 -3 0 | 54.5 | 19 |

---

No. 3
Structure and simulated powder X-ray diffraction pattern of Sr3WO6 (a DFT-relaxed cell (PBE+U, the Materials Project); CuKα).
Intensities are scaled so that the largest is 100.

Structure:
Cell lengths 10.2173, 17.9070, 10.3254 Å; angles 90.00, 108.53, 90.00 degrees
Space group Cc (No. 9)
One atom of each set of equivalent atoms:
Sr1 0.0000 0.0688 0.0000
Sr2 0.0600 0.2596 0.8713
Sr3 0.0627 0.1040 0.3857
Sr4 0.0960 0.4258 0.4032
Sr5 0.3242 0.4080 0.1284
Sr6 0.3326 0.2673 0.6070
Sr7 0.3394 0.0909 0.1865
Sr8 0.4165 0.2231 0.9708
Sr9 0.4331 0.0785 0.5445
W1 0.2023 0.0846 0.7520
W2 0.2030 0.4182 0.7582
W3 0.2102 0.2540 0.2625
O1 0.0431 0.3800 0.6127
O2 0.0484 0.0240 0.7657
O3 0.0740 0.1550 0.6295
O4 0.0887 0.4140 0.8790
O5 0.0916 0.1685 0.1771
O6 0.1034 0.3156 0.1198
O7 0.1149 0.2699 0.3946
O8 0.1413 0.4803 0.2004
O9 0.2008 0.1385 0.9178
O10 0.2042 0.0272 0.5847
O11 0.2724 0.3160 0.8170
O12 0.3083 0.4155 0.6303
O13 0.3223 0.1778 0.3951
O14 0.3371 0.3355 0.3601
O15 0.3417 0.0119 0.8539
O16 0.3433 0.2369 0.1676
O17 0.3528 0.4587 0.9108
O18 0.3626 0.1446 0.7427

Peak list (8 most intense, 2θ = 10–90°, sorted by position)
| (hkl) | 2theta | I_rel |
| --- | --- | --- |
| 1 3 -1 | 18.3 | 32 |
| 2 0 2 | 29.8 | 36 |
| 0 6 0 | 30.0 | 100 |
| 3 3 -1 | 30.2 | 69 |
| 2 6 2 | 42.7 | 33 |
| 4 0 -4 | 43.4 | 15 |
| 1 9 -3 | 53.2 | 16 |
| 5 3 1 | 53.3 | 24 |

---

- Number 2 is which compound?
  MgV4O5F7

---

- What is the formula in the third record?
  Sr3WO6